(1)
Structure and calculated X-ray diffraction stick pattern of TmSb (a PBE-relaxed structure; CuKα).

The 8 most intense peaks (2θ = 10–90°), sorted by position:
23.68°, d = 3.757 Å, rel. 3.1, (1 0 0); 33.74°, d = 2.656 Å, rel. 100.0, (1 1 0); 41.64°, d = 2.169 Å, rel. 1.0, (1 1 1); 48.46°, d = 1.878 Å, rel. 18.1, (2 0 0); 54.63°, d = 1.680 Å, rel. 1.5, (2 1 0); 60.35°, d = 1.534 Å, rel. 37.3, (2 1 1); 70.96°, d = 1.328 Å, rel. 11.5, (2 2 0); 80.93°, d = 1.188 Å, rel. 16.2, (3 1 0)

```
data_TmSb
_chemical_formula_sum 'Tm1 Sb1'
_cell_length_a 3.757
_cell_length_b 3.757
_cell_length_c 3.757
_cell_angle_alpha 90.00
_cell_angle_beta 90.00
_cell_angle_gamma 90.00
_symmetry_space_group_name_H-M 'P m -3 m'
_symmetry_Int_Tables_number 221
_symmetry_space_group_name_Hall '-P 4 2 3'
loop_
_atom_site_label
_atom_site_type_symbol
_atom_site_fract_x
_atom_site_fract_y
_atom_site_fract_z
Tm1 Tm 0.000 0.000 0.000
Sb1 Sb 0.500 0.500 0.500
```

=====

(2)
Structure and calculated X-ray diffraction stick pattern of HoGeAu (a PBE-relaxed structure; CuKα).

The 8 most intense peaks (2θ = 10–90°), sorted by position:
26.05°, d = 3.421 Å, rel. 34.5, (1 0 1); 33.76°, d = 2.655 Å, rel. 100.0, (1 0 2); 40.33°, d = 2.236 Å, rel. 73.8, (1 1 0); 43.98°, d = 2.059 Å, rel. 21.0, (1 0 3); 53.58°, d = 1.710 Å, rel. 27.1, (2 0 2); 66.14°, d = 1.413 Å, rel. 18.0, (1 1 4); 69.14°, d = 1.359 Å, rel. 25.3, (2 1 2); 73.32°, d = 1.291 Å, rel. 12.8, (3 0 0)

```
data_HoGeAu
_chemical_formula_sum 'Ho2 Ge2 Au2'
_cell_length_a 4.4728
_cell_length_b 4.4728
_cell_length_c 7.2910
_cell_angle_alpha 90.00
_cell_angle_beta 90.00
_cell_angle_gamma 120.00
_symmetry_space_group_name_H-M 'P 63 m c'
_symmetry_Int_Tables_number 186
_symmetry_space_group_name_Hall 'P 6c -2c'
loop_
_atom_site_label
_atom_site_type_symbol
_atom_site_fract_x
_atom_site_fract_y
_atom_site_fract_z
Ho1 Ho 0.0000 0.0000 0.0000
Ge1 Ge 0.3333 0.6667 0.2069
Au1 Au 0.3333 0.6667 0.7920
```

=====

(3)
Structure and calculated X-ray diffraction stick pattern of RbAlH8N4 (a PBE-relaxed structure; CuKα).

The 8 most intense peaks (2θ = 10–90°), sorted by position:
19.17°, d = 4.629 Å, rel. 88.7, (1 0 1); 22.37°, d = 3.974 Å, rel. 21.9, (1 1 1); 22.97°, d = 3.872 Å, rel. 51.4, (2 0 0); 30.09°, d = 2.970 Å, rel. 100.0, (2 1 1); 32.71°, d = 2.738 Å, rel. 24.2, (2 2 0); 35.14°, d = 2.554 Å, rel. 22.9, (1 1 2); 36.70°, d = 2.449 Å, rel. 21.8, (1 3 0); 48.76°, d = 1.868 Å, rel. 46.0, (1 3 2)

```
data_RbAlH8N4
_chemical_formula_sum 'Rb2 Al2 H16 N8'
_cell_length_a 7.744
_cell_length_b 7.744
_cell_length_c 5.774
_cell_angle_alpha 90.00
_cell_angle_beta 90.00
_cell_angle_gamma 90.00
_symmetry_space_group_name_H-M 'P 4/n'
_symmetry_Int_Tables_number 85
loop_
_symmetry_equiv_pos_as_xyz
'x,y,z'
'-x,-y,-z'
'-y+1/2,x,z'
'y+1/2,-x,-z'
'-x+1/2,-y+1/2,z'
'x+1/2,y+1/2,-z'
'y,-x+1/2,z'
'-y,x+1/2,-z'
loop_
_atom_site_label
_atom_site_type_symbol
_atom_site_fract_x
_atom_site_fract_y
_atom_site_fract_z
Rb1 Rb 0.250 0.250 0.223
Al1 Al 0.250 0.750 0.500
H1 H 0.010 0.416 0.660
H2 H 0.093 0.685 0.132
N1 N 0.108 0.631 0.292
```